Computed XRD peak list
Compound: TbCd2
Radiation: Cu Kα, 1.54184 Å
Structure: a crystal structure in the Materials Project, relaxed with GGA-PBE
Neutral-atom scattering factors, no anomalous dispersion.

The 12 most intense peaks (10 to 80 degrees two-theta), by intensity:
hkl 1 0 1, d = 2.703 Å, 33.1°, intensity 100
hkl 1 1 0, d = 2.496 Å, 36.0°, intensity 81
hkl 2 0 1, d = 1.834 Å, 49.7°, intensity 32
hkl 2 1 1, d = 1.478 Å, 62.9°, intensity 31
hkl 1 1 2, d = 1.423 Å, 65.6°, intensity 27
hkl 3 0 0, d = 1.441 Å, 64.7°, intensity 14
hkl 0 0 2, d = 1.731 Å, 52.9°, intensity 9
hkl 2 2 0, d = 1.248 Å, 76.3°, intensity 9
hkl 1 0 0, d = 4.324 Å, 20.5°, intensity 4
hkl 1 1 1, d = 2.025 Å, 44.8°, intensity 3
hkl 0 0 1, d = 3.462 Å, 25.7°, intensity 2
hkl 2 0 0, d = 2.162 Å, 41.8°, intensity 1

Structural model:
Lattice parameters (Å, degrees): 4.9927 4.9927 3.4625 90.00 90.00 120.00
Space group P6/mmm (No. 191)
Symmetry-distinct sites (fractional):
Tb  0.0000  0.0000  0.0000
Cd  0.3333  0.6667  0.5000